Record 1
Starting from a cell relaxed with GGA-PBE, the X-ray diffraction stick pattern of RbMo3Cl7 was computed for Cu Kα X-rays.
Kinematic intensities with the Lorentz-polarization factor, no thermal factor.

Atomic structure:
```
data_RbMo3Cl7
_chemical_formula_sum 'Rb8 Mo24 Cl56'
_cell_length_a 20.050
_cell_length_b 15.300
_cell_length_c 9.730
_cell_angle_alpha 90.00
_cell_angle_beta 116.01
_cell_angle_gamma 90.00
_symmetry_space_group_name_H-M 'C 1 2/c 1'
_symmetry_Int_Tables_number 15
loop_
_symmetry_equiv_pos_as_xyz
'x,y,z'
'-x,-y,-z'
'-x,y,-z+1/2'
'x,-y,z+1/2'
'x+1/2,y+1/2,z'
'-x+1/2,-y+1/2,-z'
'-x+1/2,y+1/2,-z+1/2'
'x+1/2,-y+1/2,z+1/2'
loop_
_atom_site_label
_atom_site_type_symbol
_atom_site_fract_x
_atom_site_fract_y
_atom_site_fract_z
Rb1 Rb 0.000 0.000 0.000
Rb2 Rb 0.000 0.430 0.250
Mo1 Mo 0.175 0.312 0.843
Mo2 Mo 0.194 0.149 0.939
Mo3 Mo 0.207 0.277 0.131
Cl1 Cl 0.075 0.395 0.639
Cl2 Cl 0.085 0.237 0.919
Cl3 Cl 0.118 0.014 0.858
Cl4 Cl 0.149 0.311 0.298
Cl5 Cl 0.166 0.188 0.670
Cl6 Cl 0.192 0.430 0.033
Cl7 Cl 0.227 0.121 0.215
```

The 12 most intense peaks (5° ≤ 2θ ≤ 70°), sorted by position:
hkl 2 0 0, 9.82 deg, intensity 43; hkl 1 1 -1, 10.79 deg, intensity 100; hkl 0 2 0, 11.57 deg, intensity 18; hkl 1 1 1, 14.28 deg, intensity 27; hkl 3 1 -1, 14.92 deg, intensity 19; hkl 2 2 0, 15.19 deg, intensity 41; hkl 1 1 2, 23.67 deg, intensity 7; hkl 3 3 2, 34.95 deg, intensity 6; hkl 4 6 -2, 41.46 deg, intensity 7; hkl 4 4 2, 41.82 deg, intensity 8; hkl 9 1 -1, 42.06 deg, intensity 9; hkl 8 0 -4, 43.23 deg, intensity 6


Record 2
Starting from a cell relaxed with GGA-PBE, the X-ray diffraction stick pattern of K5PdS4 was computed for Cu Kα X-rays.
Kinematic intensities with the Lorentz-polarization factor, no thermal factor.

Atomic structure:
```
data_K5PdS4
_chemical_formula_sum 'K10 Pd2 S8'
_cell_length_a 21.309
_cell_length_b 3.651
_cell_length_c 8.613
_cell_angle_alpha 90.00
_cell_angle_beta 113.75
_cell_angle_gamma 90.00
_symmetry_space_group_name_H-M 'C 1 2/m 1'
_symmetry_Int_Tables_number 12
loop_
_symmetry_equiv_pos_as_xyz
'x,y,z'
'-x,-y,-z'
'-x,y,-z'
'x,-y,z'
'x+1/2,y+1/2,z'
'-x+1/2,-y+1/2,-z'
'-x+1/2,y+1/2,-z'
'x+1/2,-y+1/2,z'
loop_
_atom_site_label
_atom_site_type_symbol
_atom_site_fract_x
_atom_site_fract_y
_atom_site_fract_z
K1 K 0.000 0.000 0.000
K2 K 0.162 0.500 0.460
K3 K 0.162 0.500 0.864
Pd1 Pd 0.000 0.000 0.500
S1 S 0.000 0.500 0.316
S2 S 0.242 0.500 0.242
```

The 12 most intense peaks (5° ≤ 2θ ≤ 70°), sorted by position:
hkl 2 0 0, 9.07 deg, intensity 31; hkl 2 0 -1, 11.23 deg, intensity 100; hkl 4 0 0, 18.19 deg, intensity 44; hkl 6 0 0, 27.44 deg, intensity 44; hkl 6 0 -2, 27.64 deg, intensity 56; hkl 3 1 0, 28.03 deg, intensity 55; hkl 5 1 -1, 32.35 deg, intensity 21; hkl 3 1 -2, 32.47 deg, intensity 77; hkl 3 1 2, 39.77 deg, intensity 32; hkl 3 1 -3, 39.95 deg, intensity 33; hkl 5 1 2, 46.04 deg, intensity 27; hkl 9 1 -2, 46.11 deg, intensity 21